No. 1
# NaCdBiSb
Computed X-ray powder pattern, Cu Kα. Input: a DFT-relaxed cell (GGA-PBE, Alexandria).
Kinematic intensities with the Lorentz-polarization factor, no thermal factor.

Cell and atoms:
```
data_NaCdBiSb
_chemical_formula_sum 'Na4 Cd4 Bi4 Sb4'
_space_group_name_H-M_alt 'F -4 3 m'
_space_group_IT_number 216
_space_group_name_Hall 'F -4 2 3'
_cell_length_a 7.6969
_cell_length_b 7.6969
_cell_length_c 7.6969
_cell_angle_alpha 90.00
_cell_angle_beta 90.00
_cell_angle_gamma 90.00
loop_
_atom_site_label
_atom_site_fract_x
_atom_site_fract_y
_atom_site_fract_z
Na1 0.0000 0.0000 0.0000
Cd1 0.2500 0.2500 0.7500
Bi1 0.0000 0.0000 0.5000
Sb1 0.2500 0.2500 0.2500
```

Most intense lines, 10 to 80 degrees two-theta, most intense first:
d = 2.721 Å, rel. 100, hkl 2 2 0
d = 1.571 Å, rel. 38, hkl 4 2 2
d = 4.444 Å, rel. 34, hkl 1 1 1
d = 2.321 Å, rel. 20, hkl 3 1 1
d = 1.924 Å, rel. 18, hkl 4 0 0
d = 1.217 Å, rel. 16, hkl 6 2 0


No. 2
# NdInPt6
Computed X-ray powder pattern, Cu Kα. Input: a DFT-relaxed cell (GGA-PBE, Alexandria).
Kinematic intensities with the Lorentz-polarization factor, no thermal factor.

Cell and atoms:
```
data_NdInPt6
_chemical_formula_sum 'Nd1 In1 Pt6'
_space_group_name_H-M_alt 'P m -3'
_space_group_IT_number 200
_space_group_name_Hall '-P 2 2 3'
_cell_length_a 5.2847
_cell_length_b 5.2847
_cell_length_c 5.2847
_cell_angle_alpha 90.00
_cell_angle_beta 90.00
_cell_angle_gamma 90.00
loop_
_atom_site_label
_atom_site_fract_x
_atom_site_fract_y
_atom_site_fract_z
Nd1 0.0000 0.0000 0.0000
In1 0.5000 0.5000 0.5000
Pt1 0.0000 0.2526 0.5000
```

Most intense lines, 10 to 80 degrees two-theta, most intense first:
d = 2.363 Å, rel. 100, hkl 2 1 0
d = 2.157 Å, rel. 54, hkl 2 1 1
d = 1.412 Å, rel. 28, hkl 3 2 1
d = 2.642 Å, rel. 24, hkl 2 0 0
d = 1.466 Å, rel. 23, hkl 3 0 2
d = 1.321 Å, rel. 14, hkl 4 0 0


No. 3
# Ho2Ga2Pd
Computed X-ray powder pattern, Cu Kα. Input: a DFT-relaxed cell (GGA-PBE, Alexandria).
Kinematic intensities with the Lorentz-polarization factor, no thermal factor.

Cell and atoms:
```
data_Ho2Ga2Pd
_chemical_formula_sum 'Ho8 Ga8 Pd4'
_space_group_name_H-M_alt 'I b a m'
_space_group_IT_number 72
_space_group_name_Hall '-I 2 2c'
_cell_length_a 6.1827
_cell_length_b 12.2463
_cell_length_c 5.7817
_cell_angle_alpha 90.00
_cell_angle_beta 90.00
_cell_angle_gamma 90.00
loop_
_atom_site_label
_atom_site_fract_x
_atom_site_fract_y
_atom_site_fract_z
Ho1 0.2276 0.1689 0.0000
Ga1 0.1662 0.4219 0.0000
Pd1 0.0000 0.0000 0.2500
```

Most intense lines, 10 to 80 degrees two-theta, most intense first:
d = 2.479 Å, rel. 100, hkl 1 4 1
d = 2.111 Å, rel. 47, hkl 2 0 2
d = 3.476 Å, rel. 42, hkl 1 2 1
d = 2.891 Å, rel. 31, hkl 0 0 2
d = 1.577 Å, rel. 25, hkl 1 4 3
d = 2.760 Å, rel. 22, hkl 2 2 0


No. 4
# NaGaSn4
Computed X-ray powder pattern, Cu Kα. Input: a DFT-relaxed cell (GGA-PBE, Alexandria).
Kinematic intensities with the Lorentz-polarization factor, no thermal factor.

Cell and atoms:
```
data_NaGaSn4
_chemical_formula_sum 'Na4 Ga4 Sn16'
_space_group_name_H-M_alt 'I m m a'
_space_group_IT_number 74
_space_group_name_Hall '-I 2b 2'
_cell_length_a 6.4581
_cell_length_b 8.7335
_cell_length_c 12.2096
_cell_angle_alpha 90.00
_cell_angle_beta 90.00
_cell_angle_gamma 90.00
loop_
_atom_site_label
_atom_site_fract_x
_atom_site_fract_y
_atom_site_fract_z
Na1 0.0000 0.2500 0.1778
Ga1 0.0000 0.2500 0.5393
Sn1 0.2326 0.0000 0.0000
Sn2 0.2500 0.0797 0.7500
```

Most intense lines, 10 to 80 degrees two-theta, most intense first:
d = 2.596 Å, rel. 100, hkl 2 2 0
d = 3.052 Å, rel. 96, hkl 0 0 4
d = 1.978 Å, rel. 70, hkl 2 2 4
d = 4.367 Å, rel. 64, hkl 0 2 0
d = 7.103 Å, rel. 64, hkl 0 1 1
d = 3.229 Å, rel. 59, hkl 2 0 0


No. 5
# Mn2NbS6
Computed X-ray powder pattern, Cu Kα. Input: a DFT-relaxed cell (GGA-PBE, Alexandria).
Kinematic intensities with the Lorentz-polarization factor, no thermal factor.

Cell and atoms:
```
data_Mn2NbS6
_chemical_formula_sum 'Mn4 Nb2 S12'
_space_group_name_H-M_alt 'C 1 2/m 1'
_space_group_IT_number 12
_space_group_name_Hall '-C 2y'
_cell_length_a 15.4629
_cell_length_b 3.3486
_cell_length_c 7.9134
_cell_angle_alpha 90.00
_cell_angle_beta 113.77
_cell_angle_gamma 90.00
loop_
_atom_site_label
_atom_site_fract_x
_atom_site_fract_y
_atom_site_fract_z
Mn1 0.1647 0.0000 0.3279
Nb1 0.0000 0.5000 0.0000
S1 0.9995 0.0000 0.2306
S2 0.1711 0.5000 0.5372
S3 0.1746 0.5000 0.1277
```

Most intense lines, 10 to 80 degrees two-theta, most intense first:
d = 6.550 Å, rel. 100, hkl 2 0 -1
d = 2.542 Å, rel. 42, hkl 1 1 -2
d = 2.359 Å, rel. 18, hkl 6 0 0
d = 2.063 Å, rel. 16, hkl 3 1 -3
d = 1.826 Å, rel. 14, hkl 7 1 -2
d = 2.769 Å, rel. 12, hkl 4 0 1


No. 6
# HoCu4Si4
Computed X-ray powder pattern, Cu Kα. Input: a DFT-relaxed cell (GGA-PBE, Alexandria).
Kinematic intensities with the Lorentz-polarization factor, no thermal factor.

Cell and atoms:
```
data_HoCu4Si4
_chemical_formula_sum 'Ho2 Cu8 Si8'
_space_group_name_H-M_alt 'P 42/n m c'
_space_group_IT_number 137
_cell_length_a 5.7568
_cell_length_b 5.7568
_cell_length_c 8.1925
_cell_angle_alpha 90.00
_cell_angle_beta 90.00
_cell_angle_gamma 90.00
loop_
_space_group_symop_operation_xyz
'x,y,z'
'-x,-y,-z'
'-y+1/2,x,z+1/2'
'y+1/2,-x,-z+1/2'
'-x+1/2,-y+1/2,z'
'x+1/2,y+1/2,-z'
'y,-x+1/2,z+1/2'
'-y,x+1/2,-z+1/2'
'x+1/2,-y,-z'
'-x+1/2,y,z'
'-y,-x,-z+1/2'
'y,x,z+1/2'
'-x,y+1/2,-z'
'x,-y+1/2,z'
'y+1/2,x+1/2,-z+1/2'
'-y+1/2,-x+1/2,z+1/2'
loop_
_atom_site_label
_atom_site_fract_x
_atom_site_fract_y
_atom_site_fract_z
Ho1 0.2500 0.7500 0.2500
Cu1 0.0201 0.2500 0.1644
Si1 0.0406 0.2500 0.4551
```

Most intense lines, 10 to 80 degrees two-theta, most intense first:
d = 2.456 Å, rel. 100, hkl 2 1 1
d = 2.884 Å, rel. 36, hkl 2 0 0
d = 1.981 Å, rel. 31, hkl 2 0 3
d = 2.467 Å, rel. 21, hkl 1 0 3
d = 4.096 Å, rel. 18, hkl 0 0 2
d = 1.567 Å, rel. 14, hkl 3 2 1


No. 7
# BaGaBO3F2
Computed X-ray powder pattern, Cu Kα. Input: a DFT-relaxed cell (GGA-PBE, Alexandria).
Kinematic intensities with the Lorentz-polarization factor, no thermal factor.

Cell and atoms:
```
data_BaGaBO3F2
_chemical_formula_sum 'Ba2 Ga2 B2 O6 F4'
_space_group_name_H-M_alt 'P 63/m'
_space_group_IT_number 176
_space_group_name_Hall '-P 6c'
_cell_length_a 4.9455
_cell_length_b 4.9455
_cell_length_c 9.8639
_cell_angle_alpha 90.00
_cell_angle_beta 90.00
_cell_angle_gamma 120.00
loop_
_atom_site_label
_atom_site_fract_x
_atom_site_fract_y
_atom_site_fract_z
Ba1 0.0000 0.0000 0.0000
Ga1 0.3333 0.6667 0.2500
B1 0.3333 0.6667 0.7500
O1 0.0656 0.3765 0.7500
F1 0.3333 0.6667 0.0478
```

Most intense lines, 10 to 80 degrees two-theta, most intense first:
d = 3.234 Å, rel. 100, hkl 1 0 2
d = 2.473 Å, rel. 51, hkl 1 1 0
d = 1.746 Å, rel. 28, hkl 1 1 4
d = 2.466 Å, rel. 24, hkl 0 0 4
d = 1.964 Å, rel. 24, hkl 2 0 2
d = 1.538 Å, rel. 20, hkl 2 1 2


No. 8
# BaMgTl2In4
Computed X-ray powder pattern, Cu Kα. Input: a DFT-relaxed cell (GGA-PBE, Alexandria).
Kinematic intensities with the Lorentz-polarization factor, no thermal factor.

Cell and atoms:
```
data_BaMgTl2In4
_chemical_formula_sum 'Ba3 Mg3 Tl6 In12'
_space_group_name_H-M_alt 'R -3 m'
_space_group_IT_number 166
_space_group_name_Hall '-R 3 2"'
_cell_length_a 5.3707
_cell_length_b 5.3707
_cell_length_c 28.8612
_cell_angle_alpha 90.00
_cell_angle_beta 90.00
_cell_angle_gamma 120.00
loop_
_atom_site_label
_atom_site_fract_x
_atom_site_fract_y
_atom_site_fract_z
Ba1 0.0000 0.0000 0.0000
Mg1 0.0000 0.0000 0.5000
Tl1 0.0000 0.0000 0.2495
In1 0.0000 0.0000 0.1341
In2 0.0000 0.0000 0.3989
```

Most intense lines, 10 to 80 degrees two-theta, most intense first:
d = 2.685 Å, rel. 100, hkl 1 1 0
d = 2.851 Å, rel. 81, hkl 0 1 8
d = 1.580 Å, rel. 28, hkl 1 2 8
d = 1.955 Å, rel. 27, hkl 2 0 8
d = 3.085 Å, rel. 20, hkl 1 0 7
d = 1.550 Å, rel. 19, hkl 3 0 0


No. 9
# Ga8CuTc2
Computed X-ray powder pattern, Cu Kα. Input: a DFT-relaxed cell (GGA-PBE, Alexandria).
Kinematic intensities with the Lorentz-polarization factor, no thermal factor.

Cell and atoms:
```
data_Ga8CuTc2
_chemical_formula_sum 'Ga16 Cu2 Tc4'
_space_group_name_H-M_alt 'C 1 2/m 1'
_space_group_IT_number 12
_space_group_name_Hall '-C 2y'
_cell_length_a 12.3896
_cell_length_b 6.6071
_cell_length_c 4.9907
_cell_angle_alpha 90.00
_cell_angle_beta 109.87
_cell_angle_gamma 90.00
loop_
_atom_site_label
_atom_site_fract_x
_atom_site_fract_y
_atom_site_fract_z
Ga1 0.0887 0.2163 0.3312
Ga2 0.1049 0.0000 0.8124
Ga3 0.1793 0.5000 0.8455
Cu1 0.0000 0.5000 0.0000
Tc1 0.2292 0.5000 0.3916
```

Most intense lines, 10 to 80 degrees two-theta, most intense first:
d = 2.286 Å, rel. 100, hkl 2 2 1
d = 2.198 Å, rel. 56, hkl 5 1 0
d = 2.057 Å, rel. 43, hkl 6 0 -1
d = 2.258 Å, rel. 42, hkl 3 1 -2
d = 2.874 Å, rel. 41, hkl 2 2 0
d = 2.490 Å, rel. 41, hkl 2 0 -2


No. 10
# V5Cr6
Computed X-ray powder pattern, Cu Kα. Input: a DFT-relaxed cell (GGA-PBE, Alexandria).
Kinematic intensities with the Lorentz-polarization factor, no thermal factor.

Cell and atoms:
```
data_V5Cr6
_chemical_formula_sum 'V10 Cr12'
_space_group_name_H-M_alt 'I m m m'
_space_group_IT_number 71
_space_group_name_Hall '-I 2 2'
_cell_length_a 4.1063
_cell_length_b 5.7509
_cell_length_c 12.1480
_cell_angle_alpha 90.00
_cell_angle_beta 90.00
_cell_angle_gamma 90.00
loop_
_atom_site_label
_atom_site_fract_x
_atom_site_fract_y
_atom_site_fract_z
V1 0.0000 0.0000 0.0000
V2 0.0000 0.0000 0.3346
V3 0.0000 0.5000 0.3334
Cr1 0.0000 0.2415 0.5000
Cr2 0.0000 0.2543 0.1622
```

Most intense lines, 10 to 80 degrees two-theta, most intense first:
d = 2.036 Å, rel. 100, hkl 1 2 3
d = 2.053 Å, rel. 26, hkl 2 0 0
d = 2.025 Å, rel. 24, hkl 0 0 6
d = 1.442 Å, rel. 14, hkl 2 0 6
d = 1.438 Å, rel. 7, hkl 0 4 0
d = 5.198 Å, rel. 3, hkl 0 1 1


No. 11
# CsZn2AsBr8
Computed X-ray powder pattern, Cu Kα. Input: a DFT-relaxed cell (GGA-PBE, Alexandria).
Kinematic intensities with the Lorentz-polarization factor, no thermal factor.

Cell and atoms:
```
data_CsZn2AsBr8
_chemical_formula_sum 'Cs3 Zn6 As3 Br24'
_space_group_name_H-M_alt 'R -3'
_space_group_IT_number 148
_space_group_name_Hall '-R 3'
_cell_length_a 6.7548
_cell_length_b 6.7548
_cell_length_c 32.3548
_cell_angle_alpha 90.00
_cell_angle_beta 90.00
_cell_angle_gamma 120.00
loop_
_atom_site_label
_atom_site_fract_x
_atom_site_fract_y
_atom_site_fract_z
Cs1 0.0000 0.0000 0.0000
Zn1 0.0000 0.0000 0.2384
As1 0.0000 0.0000 0.5000
Br1 0.0000 0.0000 0.3119
Br2 0.0046 0.3517 0.2156
```

Most intense lines, 10 to 80 degrees two-theta, most intense first:
d = 3.223 Å, rel. 100, hkl 1 1 3
d = 2.862 Å, rel. 78, hkl 2 -1 6
d = 4.740 Å, rel. 67, hkl 1 0 4
d = 1.950 Å, rel. 53, hkl 3 0 0
d = 3.595 Å, rel. 44, hkl 0 0 9
d = 2.107 Å, rel. 41, hkl 1 1 12


No. 12
# BaGa9Rh2
Computed X-ray powder pattern, Cu Kα. Input: a DFT-relaxed cell (GGA-PBE, Alexandria).
Kinematic intensities with the Lorentz-polarization factor, no thermal factor.

Cell and atoms:
```
data_BaGa9Rh2
_chemical_formula_sum 'Ba4 Ga36 Rh8'
_space_group_name_H-M_alt 'I 41/a m d'
_space_group_IT_number 141
_cell_length_a 10.7018
_cell_length_b 10.7018
_cell_length_c 7.6971
_cell_angle_alpha 90.00
_cell_angle_beta 90.00
_cell_angle_gamma 90.00
loop_
_space_group_symop_operation_xyz
'x,y,z'
'-x,-y,-z'
'-y+1/4,x+3/4,z+1/4'
'y+1/4,-x+3/4,-z+1/4'
'-x+1/2,-y,z+1/2'
'x+1/2,y,-z+1/2'
'y+1/4,-x+1/4,z+3/4'
'-y+1/4,x+1/4,-z+3/4'
'x,-y,-z'
'-x,y,z'
'-y+1/4,-x+1/4,-z+3/4'
'y+1/4,x+1/4,z+3/4'
'-x+1/2,y,-z+1/2'
'x+1/2,-y,z+1/2'
'y+1/4,x+3/4,-z+1/4'
'-y+1/4,-x+3/4,z+1/4'
'x+1/2,y+1/2,z+1/2'
'-x+1/2,-y+1/2,-z+1/2'
'-y+3/4,x+1/4,z+3/4'
'y+3/4,-x+1/4,-z+3/4'
'-x,-y+1/2,z'
'x,y+1/2,-z'
'y+3/4,-x+3/4,z+1/4'
'-y+3/4,x+3/4,-z+1/4'
'x+1/2,-y+1/2,-z+1/2'
'-x+1/2,y+1/2,z+1/2'
'-y+3/4,-x+3/4,-z+1/4'
'y+3/4,x+3/4,z+1/4'
'-x,y+1/2,-z'
'x,-y+1/2,z'
'y+3/4,x+1/4,-z+3/4'
'-y+3/4,-x+1/4,z+3/4'
loop_
_atom_site_label
_atom_site_fract_x
_atom_site_fract_y
_atom_site_fract_z
Ba1 0.0000 0.2500 0.3750
Ga1 0.0000 0.2500 0.8750
Ga2 0.1220 0.0463 0.6935
Rh1 0.0000 0.0000 0.0000
```

Most intense lines, 10 to 80 degrees two-theta, most intense first:
d = 2.541 Å, rel. 100, hkl 3 1 2
d = 2.062 Å, rel. 80, hkl 5 0 1
d = 2.393 Å, rel. 72, hkl 4 2 0
d = 2.032 Å, rel. 66, hkl 4 2 2
d = 2.495 Å, rel. 55, hkl 1 0 3
d = 2.769 Å, rel. 47, hkl 3 2 1